This entry pairs a crystal structure of PdI2O6 with its simulated powder diffraction line list. Radiation: Cu Ka. Structure: a structure optimized by DFT (PBE).

a = 5.7182 Å, b = 5.9352 Å, c = 15.1191 Å
α = 90.00°, β = 90.00°, γ = 90.00°
Sites, in units of the cell vectors:
Pd1 0.0000 0.0000 0.0000
Pd2 0.0000 0.5000 0.5000
Pd3 0.5000 0.0000 0.5000
Pd4 0.5000 0.5000 0.0000
I1 0.0298 0.0852 0.3447
I2 0.0298 0.4148 0.8447
I3 0.4702 0.5852 0.3447
I4 0.4702 0.9148 0.8447
I5 0.5298 0.0852 0.1553
I6 0.5298 0.4148 0.6553
I7 0.9702 0.5852 0.1553
I8 0.9702 0.9148 0.6553
O1 0.1278 0.6635 0.6072
O2 0.1278 0.8365 0.1072
O3 0.1787 0.5072 0.9459
O4 0.1787 0.9928 0.4459
O5 0.2371 0.7350 0.2834
O6 0.2371 0.7650 0.7834
O7 0.2629 0.2350 0.2834
O8 0.2629 0.2650 0.7834
O9 0.3213 0.0072 0.9459
O10 0.3213 0.4928 0.4459
O11 0.3722 0.1635 0.6072
O12 0.3722 0.3365 0.1072
O13 0.6278 0.6635 0.8928
O14 0.6278 0.8365 0.3928
O15 0.6787 0.5072 0.5541
O16 0.6787 0.9928 0.0541
O17 0.7371 0.7350 0.2166
O18 0.7371 0.7650 0.7166
O19 0.7629 0.2350 0.2166
O20 0.7629 0.2650 0.7166
O21 0.8213 0.0072 0.5541
O22 0.8213 0.4928 0.0541
O23 0.8722 0.1635 0.8928
O24 0.8722 0.3365 0.3928

Peak list (10 most intense, 10 to 90 degrees two-theta, in order of rising 2θ)
| Position (°2θ) | intensity | hkl |
| --- | --- | --- |
| 24.62 | 28 | 1 1 2 |
| 27.98 | 100 | 1 1 3 |
| 30.11 | 10 | 0 2 0 |
| 30.70 | 12 | 0 2 1 |
| 31.29 | 17 | 2 0 0 |
| 35.63 | 12 | 0 0 6 |
| 48.13 | 15 | 2 0 6 |
| 50.27 | 11 | 1 3 2 |
| 53.68 | 16 | 3 1 3 |
| 59.42 | 12 | 1 1 9 |